Record 1
This entry pairs a crystal structure of MgTiNiP3O12 with its calculated powder diffractogram. Radiation: Cu Kα, 1.54184 Å. Structure: DFT lattice parameters and positions (PBE+U).
Kinematic intensities with the Lorentz-polarization factor, no thermal factor.

Principal peaks in the range 2θ from 15° to 90°, low angle first:
| d/Å | 2θ/deg | I/Imax | hkl |
| --- | --- | --- | --- |
| 4.310 | 20.61 | 49 | 1 1 0 |
| 4.254 | 20.88 | 27 | 1 0 4 |
| 3.656 | 24.35 | 100 | 1 1 3 |
| 3.028 | 29.50 | 21 | 0 2 4 |
| 2.694 | 33.26 | 45 | 1 1 6 |
| 2.489 | 36.09 | 26 | 3 0 0 |
| 1.907 | 47.68 | 22 | 1 2 8 |
| 1.828 | 49.89 | 18 | 2 2 6 |

Crystal structure
Cell lengths 8.6208, 8.6208, 20.7078 Å; angles 90.00, 90.00, 120.00 degrees
Space group R3c (No. 161, hexagonal axes)
Symmetry-distinct sites (fractional):
1 Mg 0.0000 0.0000 0.0000
2 Ti 0.0000 0.0000 0.1476
3 Ni 0.0000 0.0000 0.3604
4 P 0.0395 0.3715 0.4210
5 O 0.0181 0.1830 0.4272
6 O 0.1352 0.4659 0.4823
7 O 0.1487 0.4765 0.3603
8 O 0.1696 0.4824 0.7451



Record 2
This entry pairs a crystal structure of PrCoO3 with its calculated powder diffractogram. Radiation: Cu Kα, 1.54184 Å. Structure: DFT lattice parameters and positions (PBE+U).
Kinematic intensities with the Lorentz-polarization factor, no thermal factor.

Principal peaks in the range 2θ from 15° to 90°, low angle first:
| d/Å | 2θ/deg | I/Imax | hkl |
| --- | --- | --- | --- |
| 3.819 | 23.29 | 13 | 1 0 0 |
| 2.700 | 33.18 | 100 | 1 1 0 |
| 2.205 | 40.93 | 17 | 1 1 1 |
| 1.909 | 47.63 | 32 | 2 0 0 |
| 1.708 | 53.67 | 7 | 2 1 0 |
| 1.559 | 59.27 | 38 | 2 1 1 |
| 1.350 | 69.64 | 18 | 2 2 0 |
| 1.208 | 79.34 | 16 | 3 1 0 |

Crystal structure
Cell lengths 3.8188, 3.8188, 3.8188 Å; angles 90.00, 90.00, 90.00 degrees
Space group Pm-3m (No. 221)
Symmetry-distinct sites (fractional):
1 Pr 0.0000 0.0000 0.0000
2 Co 0.5000 0.5000 0.5000
3 O 0.0000 0.5000 0.5000